For KRe2SnO8, DFT lattice parameters and positions (GGA-PBE) gives the theoretical X-ray powder pattern in this record (Cu Ka).

The 8 most intense peaks (10° ≤ 2θ ≤ 90°), sorted by position:
| h k l | two_theta | d [Å] | I/Imax |
| --- | --- | --- | --- |
| 1 1 0 | 14.61 | 6.062 | 100.0 |
| 1 1 -1 | 20.33 | 4.367 | 35.9 |
| 1 1 1 | 22.21 | 4.003 | 70.2 |
| 2 0 1 | 23.22 | 3.831 | 56.2 |
| 0 2 0 | 25.34 | 3.515 | 64.6 |
| 3 1 0 | 25.67 | 3.470 | 32.8 |
| 3 1 -1 | 27.97 | 3.190 | 73.2 |
| 2 0 -2 | 32.09 | 2.790 | 47.1 |

Structure:
a b c (Å): 12.1500 7.0298 5.8408
angles (deg): 90.00 99.91 90.00
Space group C2/m (No. 12)
Inequivalent atoms, fractional coordinates:
K1 0.0000 0.0000 0.0000 (multiplicity 2)
Re1 0.1823 0.5000 0.1422 (multiplicity 4)
Sn1 0.0000 0.5000 0.5000 (multiplicity 2)
O1 0.1095 0.3147 0.2719 (multiplicity 8)
O2 0.1479 0.5000 0.8346 (multiplicity 4)
O3 0.1738 0.0000 0.7561 (multiplicity 4)